Simulated X-ray powder pattern of NpScSbO6 for Cu Kα (λ = 1.5418 Å), from the PBE geometry in Alexandria.
Neutral-atom scattering factors, no anomalous dispersion.

Cell and atoms:
a b c (Å): 5.5524 5.5524 9.5053
angles (deg): 90.00 90.00 120.00
Space group P-31c (No. 163)
Inequivalent atoms, fractional coordinates:
Np: 0.3333 0.6667 0.2500
Sc: 0.3333 0.6667 0.7500
Sb: 0.0000 0.0000 0.0000
O: 0.0071 0.3535 0.1356

Most intense lines, 2θ = 10–90°, sorted by position:
| hkl | two_theta | intensity |
| --- | --- | --- |
| 0 0 2 | 18.67 | 16 |
| 1 0 1 | 20.70 | 67 |
| 1 0 2 | 26.37 | 100 |
| 1 1 0 | 32.24 | 53 |
| 1 0 3 | 33.88 | 20 |
| 1 1 2 | 37.52 | 17 |
| 2 0 2 | 42.12 | 28 |
| 1 1 4 | 50.56 | 48 |
| 2 1 2 | 54.02 | 27 |
| 3 0 0 | 57.50 | 19 |

=====

Simulated X-ray powder pattern of SrNp2SbO8 for Cu Kα (λ = 1.5418 Å), from the PBE geometry in Alexandria.
Neutral-atom scattering factors, no anomalous dispersion.

Cell and atoms:
a b c (Å): 7.1767 7.4411 7.0693
angles (deg): 90.00 90.00 90.00
Space group Cmmm (No. 65)
Inequivalent atoms, fractional coordinates:
Sr: 0.0000 0.0000 0.0000
Np: 0.0000 0.5000 0.2520
Sb: 0.0000 0.0000 0.5000
O: 0.0000 0.3153 0.5000
O: 0.0000 0.3310 0.0000
O: 0.2196 0.0000 0.2681

Most intense lines, 2θ = 10–90°, sorted by position:
| hkl | two_theta | intensity |
| --- | --- | --- |
| 1 1 0 | 17.17 | 36 |
| 0 2 0 | 23.92 | 58 |
| 2 0 0 | 24.81 | 49 |
| 1 1 2 | 30.65 | 100 |
| 2 2 0 | 34.73 | 30 |
| 0 2 2 | 35.02 | 11 |
| 1 3 2 | 46.48 | 42 |
| 3 1 2 | 47.49 | 35 |
| 3 3 2 | 59.74 | 22 |
| 2 2 4 | 63.82 | 13 |

=====

Simulated X-ray powder pattern of Sr2NpSbO6 for Cu Kα (λ = 1.5418 Å), from the PBE geometry in Alexandria.
Neutral-atom scattering factors, no anomalous dispersion.

Cell and atoms:
a b c (Å): 6.0886 6.0886 4.5360
angles (deg): 90.00 90.00 90.00
Space group P4mm (No. 99)
Inequivalent atoms, fractional coordinates:
Sr: 0.0000 0.5000 0.0000
Np: 0.0000 0.0000 0.5993
Sb: 0.5000 0.5000 0.5894
O: 0.0000 0.0000 0.1048
O: 0.2422 0.2422 0.6433
O: 0.5000 0.5000 0.0299

Most intense lines, 2θ = 10–90°, sorted by position:
| hkl | two_theta | intensity |
| --- | --- | --- |
| 1 0 0 | 14.55 | 13 |
| 0 0 1 | 19.57 | 21 |
| 1 1 0 | 20.63 | 22 |
| 1 1 1 | 28.59 | 100 |
| 2 0 0 | 29.34 | 51 |
| 2 2 0 | 41.97 | 31 |
| 1 1 2 | 45.19 | 16 |
| 2 0 2 | 50.16 | 19 |
| 3 1 1 | 51.57 | 40 |
| 2 2 2 | 59.18 | 15 |

=====

Simulated X-ray powder pattern of NpScO4 for Cu Kα (λ = 1.5418 Å), from the PBE geometry in Alexandria.
Neutral-atom scattering factors, no anomalous dispersion.

Cell and atoms:
a b c (Å): 5.1852 5.1852 10.4374
angles (deg): 90.00 90.00 90.00
Space group I4_1/amd (No. 141, origin choice 2)
Inequivalent atoms, fractional coordinates:
Np: 0.0000 0.2500 0.3750
Sc: 0.0000 0.2500 0.8750
O: 0.2499 0.0000 0.0000

Most intense lines, 2θ = 10–90°, sorted by position:
| hkl | two_theta | intensity |
| --- | --- | --- |
| 1 0 1 | 19.11 | 63 |
| 1 1 2 | 29.78 | 100 |
| 1 0 3 | 30.95 | 20 |
| 2 0 0 | 34.60 | 19 |
| 2 1 1 | 39.82 | 21 |
| 2 1 3 | 47.10 | 14 |
| 2 0 4 | 49.56 | 36 |
| 2 2 0 | 49.74 | 18 |
| 1 1 6 | 58.75 | 15 |
| 3 1 2 | 59.05 | 29 |

=====

Simulated X-ray powder pattern of Np2ScO11 for Cu Kα (λ = 1.5418 Å), from the PBE geometry in Alexandria.
Neutral-atom scattering factors, no anomalous dispersion.

Cell and atoms:
a b c (Å): 7.8502 7.8511 9.2328
angles (deg): 110.05 100.92 111.94
Space group P1 (No. 1)
Inequivalent atoms, fractional coordinates:
Np: 0.0000 0.0000 0.0000
Np: 0.1158 0.6164 0.5003
Np: 0.4887 0.4506 0.9455
Np: 0.6110 0.0726 0.4453
Sc: 0.1330 0.1126 0.4723
Sc: 0.4762 0.9558 0.9723
O: 0.0228 0.0358 0.2163
O: 0.0718 0.8269 0.4672
O: 0.1929 0.4171 0.5188
O: 0.2178 0.9414 0.0187
O: 0.2494 0.3857 0.0979
O: 0.2968 0.8098 0.7163
O: 0.3098 0.2587 0.7285
O: 0.3342 0.6739 0.3325
O: 0.3437 0.4949 0.2678
O: 0.3866 0.1187 0.4229
O: 0.4205 0.6527 0.9229
O: 0.5365 0.2411 0.9766
O: 0.5861 0.0349 0.2284
O: 0.6253 0.0964 0.6500
O: 0.6688 0.6408 0.1506
O: 0.7567 0.0117 0.9671
O: 0.7743 0.6141 0.8331
O: 0.8280 0.4644 0.5984
O: 0.8518 0.0563 0.4765
O: 0.8880 0.5387 0.7682
O: 0.9238 0.4222 0.3014
O: 0.9951 0.9923 0.8009

Most intense lines, 2θ = 10–90°, sorted by position:
| hkl | two_theta | intensity |
| --- | --- | --- |
| 1 -1 1 | 16.63 | 100 |
| -1 1 1 | 18.45 | 54 |
| 1 1 -1 | 20.21 | 28 |
| 0 0 2 | 22.01 | 53 |
| 1 1 0 | 23.05 | 37 |
| 2 0 -1 | 24.49 | 47 |
| 2 0 0 | 26.29 | 32 |
| 2 -2 0 | 27.53 | 77 |
| 1 1 1 | 30.06 | 22 |
| 2 2 -1 | 42.67 | 22 |

=====

Simulated X-ray powder pattern of SrNp2ScO8 for Cu Kα (λ = 1.5418 Å), from the PBE geometry in Alexandria.
Neutral-atom scattering factors, no anomalous dispersion.

Cell and atoms:
a b c (Å): 6.9330 7.2812 7.0258
angles (deg): 90.00 90.00 90.00
Space group Cmmm (No. 65)
Inequivalent atoms, fractional coordinates:
Sr: 0.0000 0.0000 0.0000
Np: 0.0000 0.5000 0.2564
Sc: 0.0000 0.0000 0.5000
O: 0.0000 0.3074 0.5000
O: 0.0000 0.3308 0.0000
O: 0.2113 0.0000 0.2792

Most intense lines, 2θ = 10–90°, sorted by position:
| hkl | two_theta | intensity |
| --- | --- | --- |
| 1 1 0 | 17.66 | 72 |
| 0 2 0 | 24.45 | 58 |
| 2 0 0 | 25.70 | 49 |
| 1 1 2 | 31.07 | 100 |
| 0 2 2 | 35.51 | 22 |
| 2 2 0 | 35.77 | 28 |
| 1 3 2 | 47.38 | 42 |
| 3 1 2 | 48.80 | 35 |
| 2 0 4 | 58.99 | 20 |
| 3 3 2 | 61.36 | 22 |

=====

Simulated X-ray powder pattern of TbNpSc2O8 for Cu Kα (λ = 1.5418 Å), from the PBE geometry in Alexandria.
Neutral-atom scattering factors, no anomalous dispersion.

Cell and atoms:
a b c (Å): 6.9247 6.9732 6.8211
angles (deg): 90.00 90.00 90.00
Space group Cmmm (No. 65)
Inequivalent atoms, fractional coordinates:
Tb: 0.0000 0.0000 0.0000
Np: 0.0000 0.0000 0.5000
Sc: 0.0000 0.5000 0.2310
O: 0.0000 0.2863 0.5000
O: 0.0000 0.3183 0.0000
O: 0.1948 0.0000 0.2737

Most intense lines, 2θ = 10–90°, sorted by position:
| hkl | two_theta | intensity |
| --- | --- | --- |
| 1 1 0 | 18.05 | 93 |
| 0 2 0 | 25.55 | 58 |
| 2 0 0 | 25.73 | 57 |
| 0 0 2 | 26.13 | 20 |
| 1 1 2 | 31.94 | 100 |
| 2 2 0 | 36.58 | 26 |
| 2 0 2 | 37.00 | 31 |
| 1 3 2 | 49.23 | 41 |
| 3 1 2 | 49.44 | 40 |
| 3 3 2 | 62.95 | 24 |

=====

Simulated X-ray powder pattern of ThNpSc2O8 for Cu Kα (λ = 1.5418 Å), from the PBE geometry in Alexandria.
Neutral-atom scattering factors, no anomalous dispersion.

Cell and atoms:
a b c (Å): 6.9164 6.9915 7.0190
angles (deg): 90.00 90.00 90.00
Space group Cmmm (No. 65)
Inequivalent atoms, fractional coordinates:
Th: 0.0000 0.0000 0.0000
Np: 0.0000 0.0000 0.5000
Sc: 0.0000 0.5000 0.2408
O: 0.0000 0.2905 0.5000
O: 0.0000 0.3210 0.0000
O: 0.1972 0.0000 0.2705

Most intense lines, 2θ = 10–90°, sorted by position:
| hkl | two_theta | intensity |
| --- | --- | --- |
| 1 1 0 | 18.04 | 96 |
| 0 0 2 | 25.38 | 22 |
| 0 2 0 | 25.48 | 54 |
| 2 0 0 | 25.76 | 52 |
| 1 1 2 | 31.31 | 100 |
| 2 0 2 | 36.51 | 57 |
| 2 2 2 | 45.02 | 21 |
| 1 3 2 | 48.72 | 39 |
| 3 1 2 | 49.04 | 38 |
| 3 3 2 | 62.55 | 22 |

=====

Simulated X-ray powder pattern of NpScTl2O6 for Cu Kα (λ = 1.5418 Å), from the PBE geometry in Alexandria.
Neutral-atom scattering factors, no anomalous dispersion.

Cell and atoms:
a b c (Å): 8.4306 8.4306 8.4306
angles (deg): 90.00 90.00 90.00
Space group Fm-3m (No. 225)
Inequivalent atoms, fractional coordinates:
Np: 0.0000 0.0000 0.0000
Sc: 0.0000 0.0000 0.5000
Tl: 0.2500 0.2500 0.2500
O: 0.0000 0.0000 0.2436

Most intense lines, 2θ = 10–90°, sorted by position:
| hkl | two_theta | intensity |
| --- | --- | --- |
| 1 1 1 | 18.23 | 19 |
| 2 2 0 | 29.98 | 100 |
| 3 1 1 | 35.31 | 11 |
| 4 0 0 | 42.91 | 27 |
| 3 3 1 | 46.98 | 5 |
| 4 2 2 | 53.23 | 42 |
| 4 4 0 | 62.30 | 18 |
| 6 2 0 | 70.67 | 18 |
| 4 4 4 | 78.62 | 6 |
| 6 4 2 | 86.36 | 22 |

=====

Simulated X-ray powder pattern of Np2SeO11 for Cu Kα (λ = 1.5418 Å), from the PBE geometry in Alexandria.
Neutral-atom scattering factors, no anomalous dispersion.

Cell and atoms:
a b c (Å): 11.1751 14.4608 6.3517
angles (deg): 90.00 116.69 90.00
Space group Cc (No. 9)
Inequivalent atoms, fractional coordinates:
Np: 0.0000 0.0811 0.0000
Np: 0.0208 0.4176 0.5324
Se: 0.2629 0.2463 0.5150
O: 0.0133 0.1566 0.6822
O: 0.1020 0.4804 0.3719
O: 0.1260 0.1703 0.8729
O: 0.1373 0.1878 0.3106
O: 0.1411 0.0031 0.0969
O: 0.1998 0.3157 0.6534
O: 0.3339 0.3164 0.3835
O: 0.3835 0.0016 0.4398
O: 0.3848 0.1816 0.7052
O: 0.4215 0.4832 0.6845
O: 0.4675 0.1530 0.2069

Most intense lines, 2θ = 10–90°, sorted by position:
| hkl | two_theta | intensity |
| --- | --- | --- |
| 2 0 0 | 17.77 | 62 |
| 0 2 1 | 19.89 | 100 |
| 2 2 -1 | 21.51 | 79 |
| 2 2 0 | 21.63 | 55 |
| 0 4 1 | 29.29 | 38 |
| 2 4 -1 | 30.48 | 49 |
| 2 2 -2 | 30.98 | 22 |
| 2 2 1 | 31.24 | 26 |
| 0 0 2 | 31.53 | 22 |
| 2 4 1 | 38.12 | 26 |

=====

Simulated X-ray powder pattern of NpSeO5 for Cu Kα (λ = 1.5418 Å), from the PBE geometry in Alexandria.
Neutral-atom scattering factors, no anomalous dispersion.

Cell and atoms:
a b c (Å): 4.2533 9.5744 5.7935
angles (deg): 90.00 99.75 90.00
Space group P2_1/m (No. 11)
Inequivalent atoms, fractional coordinates:
Np: 0.0000 0.0000 0.0000
Se: 0.3601 0.2500 0.7091
O: 0.0120 0.7500 0.2038
O: 0.0615 0.0851 0.2786
O: 0.4859 0.1064 0.8859

Most intense lines, 2θ = 10–90°, sorted by position:
| hkl | two_theta | intensity |
| --- | --- | --- |
| 0 0 1 | 15.52 | 100 |
| 0 1 1 | 18.09 | 22 |
| 0 2 0 | 18.53 | 29 |
| 1 0 0 | 21.20 | 33 |
| 0 2 1 | 24.26 | 79 |
| 1 2 0 | 28.30 | 65 |
| 1 0 1 | 28.47 | 30 |
| 1 2 -1 | 30.59 | 52 |
| 0 2 2 | 36.65 | 40 |
| 1 4 1 | 47.80 | 32 |